Record 1
This entry pairs a crystal structure of HgAs2H2F14 with its calculated X-ray diffraction stick pattern. Radiation: Cu Kα X-rays. Structure: the PBE geometry in the Materials Project.
No peak broadening, texture or thermal motion is included.

a = 5.033 Å, b = 6.680 Å, c = 7.843 Å
α = 86.13°, β = 79.77°, γ = 78.67°
Space group P-1 (No. 2)
Symmetry-distinct sites (fractional):
Hg  0.000  0.000  0.000
As  0.369  0.274  0.275
H  0.047  0.387  0.817
F  0.088  0.402  0.162
F  0.142  0.274  0.468
F  0.149  0.243  0.812
F  0.285  0.039  0.218
F  0.349  0.859  0.638
F  0.411  0.735  0.938
F  0.440  0.514  0.303

Peak list (12 most intense, 5° ≤ 2θ ≤ 70°, in order of rising 2θ)
11.47°, intensity 58, (0 0 1); 13.53°, intensity 30, (0 1 0); 18.07°, intensity 100, (0 1 -1); 21.83°, intensity 62, (1 1 1); 23.20°, intensity 45, (1 0 -1); 24.77°, intensity 41, (1 -1 0); 26.42°, intensity 24, (0 1 2); 26.98°, intensity 30, (1 0 2); 29.90°, intensity 22, (1 2 0); 33.73°, intensity 19, (1 1 -2); 36.84°, intensity 18, (2 0 1); 45.34°, intensity 23, (2 -1 2)



Record 2
This entry pairs a crystal structure of LiAsH6O3F6 with its calculated X-ray diffraction stick pattern. Radiation: Cu Kα X-rays. Structure: the PBE geometry in the Materials Project.
No peak broadening, texture or thermal motion is included.

a = 8.5426 Å, b = 8.5426 Å, c = 5.5926 Å
α = 90.00°, β = 90.00°, γ = 120.00°
Space group P6_3mc (No. 186)
Symmetry-distinct sites (fractional):
Li  0.0000  0.0000  0.0000
As  0.3333  0.6667  0.1261
H  0.0594  0.3003  0.7552
O  0.1101  0.2202  0.7495
F  0.1371  0.5685  0.9419
F  0.2349  0.4698  0.3073

Peak list (12 most intense, 5° ≤ 2θ ≤ 70°, in order of rising 2θ)
11.96°, intensity 29, (1 0 0); 19.90°, intensity 100, (1 0 1); 20.80°, intensity 51, (1 1 0); 24.06°, intensity 8, (2 0 0); 28.94°, intensity 36, (2 0 1); 38.48°, intensity 10, (1 1 2); 39.96°, intensity 28, (3 0 1); 47.18°, intensity 12, (3 1 1); 49.27°, intensity 14, (3 0 2); 55.55°, intensity 8, (3 1 2); 59.61°, intensity 15, (2 1 3); 65.57°, intensity 9, (3 3 0)



Record 3
This entry pairs a crystal structure of TlAsH2F10 with its calculated X-ray diffraction stick pattern. Radiation: Cu Kα X-rays. Structure: the PBE geometry in the Materials Project.
No peak broadening, texture or thermal motion is included.

a = 5.692 Å, b = 6.042 Å, c = 22.373 Å
α = 90.00°, β = 95.38°, γ = 90.00°
Space group P2_1/c (No. 14)
Symmetry-distinct sites (fractional):
Tl  0.247  0.107  0.231
As  0.486  0.728  0.103
H  0.021  0.212  0.103
H  0.094  0.744  0.487
F  0.005  0.673  0.354
F  0.040  0.231  0.542
F  0.056  0.080  0.752
F  0.258  0.686  0.547
F  0.275  0.607  0.145
F  0.285  0.155  0.339
F  0.305  0.130  0.935
F  0.441  0.516  0.644
F  0.444  0.695  0.767
F  0.467  0.519  0.934

Peak list (12 most intense, 5° ≤ 2θ ≤ 70°, in order of rising 2θ)
7.94°, intensity 100, (0 0 2); 21.57°, intensity 33, (1 1 -1); 21.70°, intensity 8, (0 1 4); 22.14°, intensity 13, (1 1 1); 22.42°, intensity 40, (1 1 -2); 23.42°, intensity 9, (1 0 4); 23.94°, intensity 29, (0 0 6); 25.37°, intensity 11, (1 1 3); 27.74°, intensity 12, (1 1 4); 29.84°, intensity 14, (0 2 1); 31.83°, intensity 8, (2 0 -2); 43.34°, intensity 12, (2 1 -7)



Record 4
This entry pairs a crystal structure of Hg2AsF6 with its calculated X-ray diffraction stick pattern. Radiation: Cu Kα X-rays. Structure: the PBE geometry in the Materials Project.
No peak broadening, texture or thermal motion is included.

a = 5.577 Å, b = 11.872 Å, c = 10.195 Å
α = 90.00°, β = 92.03°, γ = 90.00°
Space group P2_1/c (No. 14)
Symmetry-distinct sites (fractional):
Hg  0.001  0.024  0.371
Hg  0.002  0.582  0.390
As  0.499  0.205  0.828
F  0.239  0.187  0.724
F  0.240  0.724  0.568
F  0.311  0.230  0.962
F  0.315  0.680  0.806
F  0.499  0.148  0.293
F  0.500  0.059  0.865

Peak list (12 most intense, 5° ≤ 2θ ≤ 70°, in order of rising 2θ)
14.92°, intensity 24, (0 2 0); 15.90°, intensity 54, (1 0 0); 21.88°, intensity 100, (1 2 0); 23.36°, intensity 23, (1 2 -1); 23.79°, intensity 22, (1 2 1); 31.39°, intensity 24, (0 4 1); 32.12°, intensity 30, (2 0 0); 35.23°, intensity 24, (0 0 4); 35.58°, intensity 25, (2 2 0); 38.46°, intensity 17, (0 2 4); 42.40°, intensity 21, (1 2 4); 49.30°, intensity 16, (2 0 4)